[1]
# MnFeCo2
Computed powder diffraction line list, CuKα. Input: a structure optimized by DFT (GGA-PBE).
Lines closer than 0.1° are merged.

Most intense lines, 10 to 80 degrees two-theta, sorted by position:
| 2theta | intensity |
| --- | --- |
| 44.49 | 100 |
| 51.73 | 31 |
| 52.06 | 15 |
| 76.19 | 9 |
| 76.39 | 9 |
| 76.52 | 9 |

Atomic structure:
a b c (Å): 4.329 4.329 4.308
angles (deg): 99.84 99.84 33.54
Element x y z (fractional)
Mn 0.000 0.000 0.000
Fe 0.752 0.752 0.252
Co 0.250 0.250 0.749
Co 0.502 0.502 0.507

***

[2]
# Mn4Fe3Co
Computed powder diffraction line list, CuKα. Input: a structure optimized by DFT (GGA-PBE).
Lines closer than 0.1° are merged.

Most intense lines, 10 to 80 degrees two-theta, sorted by position:
| 2theta | intensity |
| --- | --- |
| 44.37 | 100 |
| 51.46 | 16 |
| 51.67 | 15 |
| 51.96 | 15 |
| 75.92 | 9 |
| 76.16 | 9 |
| 76.26 | 4 |
| 76.38 | 4 |

Atomic structure:
a b c (Å): 4.994 3.551 5.566
angles (deg): 90.00 116.36 90.00
Element x y z (fractional)
Mn 0.132 0.000 0.259
Mn 0.252 0.500 0.001
Mn 0.748 0.500 0.999
Mn 0.868 0.000 0.741
Fe 0.000 0.500 0.500
Fe 0.378 0.000 0.750
Fe 0.622 0.000 0.250
Co 0.500 0.500 0.500